No. 1
Diffraction record for Ba2CaV2Si4O14. The XRD peak list is computed, not measured: it uses a structure optimized by DFT (GGA+U) and a wavelength of 1.5418 Å.

Top 6 peaks for 15° ≤ 2θ ≤ 90°, by angle:
Position (°2θ), I_rel, h k l
18.26, 75.4, -1 1 1
21.50, 81.9, 1 1 0
25.66, 100.0, 0 1 -2
27.27, 90.8, 1 1 -2
27.41, 83.8, 0 1 2
28.89, 93.0, 2 0 -1

Atomic structure:
Unit cell a=6.351 b=7.577 c=7.987 alpha=90.26 beta=108.45 gamma=102.87
Space group P1 (No. 1)
Asymmetric unit:
Ba  0.000  0.000  0.000 (multiplicity 1)
Ba  0.390  0.439  0.798 (multiplicity 1)
Ca  0.361  0.871  0.566 (multiplicity 1)
V  0.038  0.543  0.221 (multiplicity 1)
V  0.934  0.029  0.469 (multiplicity 1)
Si  0.565  0.743  0.187 (multiplicity 1)
Si  0.624  0.175  0.155 (multiplicity 1)
Si  0.735  0.273  0.586 (multiplicity 1)
Si  0.794  0.709  0.610 (multiplicity 1)
O  0.049  0.840  0.660 (multiplicity 1)
O  0.124  0.995  0.354 (multiplicity 1)
O  0.192  0.570  0.450 (multiplicity 1)
O  0.292  0.653  0.115 (multiplicity 1)
O  0.389  0.222  0.051 (multiplicity 1)
O  0.540  0.183  0.666 (multiplicity 1)
O  0.613  0.953  0.119 (multiplicity 1)
O  0.661  0.753  0.741 (multiplicity 1)
O  0.661  0.793  0.413 (multiplicity 1)
O  0.684  0.184  0.378 (multiplicity 1)
O  0.733  0.637  0.135 (multiplicity 1)
O  0.775  0.493  0.585 (multiplicity 1)
O  0.853  0.288  0.117 (multiplicity 1)
O  0.974  0.207  0.676 (multiplicity 1)

***

No. 2
Diffraction record for Ba2CaV2Si4O14. The XRD peak list is computed, not measured: it uses a structure optimized by DFT (GGA+U) and a wavelength of 1.5418 Å.

Top 6 peaks for 15° ≤ 2θ ≤ 90°, by angle:
Position (°2θ), I_rel, h k l
20.58, 37.9, 1 1 -1
26.11, 84.7, 2 0 -2
26.78, 100.0, 3 1 1
32.09, 52.4, 0 2 0
33.20, 82.1, 5 1 0
40.45, 62.8, 0 2 2

Atomic structure:
Unit cell a=15.456 b=5.578 c=7.444 alpha=90.00 beta=92.46 gamma=90.00
Space group C2 (No. 5)
Asymmetric unit:
Ba  0.209  0.000  0.257 (multiplicity 4)
Ca  0.000  0.068  0.000 (multiplicity 2)
V  0.108  0.990  0.705 (multiplicity 4)
Si  0.103  0.497  0.462 (multiplicity 4)
Si  0.106  0.522  0.021 (multiplicity 4)
O  0.000  0.497  0.500 (multiplicity 2)
O  0.000  0.530  0.000 (multiplicity 2)
O  0.008  0.992  0.284 (multiplicity 4)
O  0.129  0.509  0.243 (multiplicity 4)
O  0.135  0.267  0.939 (multiplicity 4)
O  0.144  0.767  0.937 (multiplicity 4)
O  0.150  0.255  0.542 (multiplicity 4)
O  0.153  0.730  0.548 (multiplicity 4)

***

No. 3
Diffraction record for Ba2CaV2Si4O14. The XRD peak list is computed, not measured: it uses a structure optimized by DFT (GGA+U) and a wavelength of 1.5418 Å.

Top 6 peaks for 15° ≤ 2θ ≤ 90°, by angle:
Position (°2θ), I_rel, h k l
21.40, 31.7, 1 1 0
23.33, 37.7, 1 0 1
27.92, 100.0, 1 -2 0
31.38, 45.0, 2 0 -1
33.09, 47.8, 1 0 -3
42.85, 33.1, 2 -2 1

Atomic structure:
Unit cell a=5.702 b=7.722 c=8.493 alpha=105.10 beta=109.57 gamma=90.02
Space group P1 (No. 1)
Asymmetric unit:
Ba  0.000  0.000  0.000 (multiplicity 1)
Ba  0.353  0.644  0.710 (multiplicity 1)
Ca  0.377  0.216  0.759 (multiplicity 1)
V  0.039  0.517  0.077 (multiplicity 1)
V  0.212  0.882  0.432 (multiplicity 1)
Si  0.564  0.808  0.127 (multiplicity 1)
Si  0.574  0.249  0.146 (multiplicity 1)
Si  0.768  0.835  0.541 (multiplicity 1)
Si  0.780  0.412  0.566 (multiplicity 1)
O  0.057  0.936  0.625 (multiplicity 1)
O  0.060  0.371  0.662 (multiplicity 1)
O  0.163  0.048  0.331 (multiplicity 1)
O  0.170  0.648  0.342 (multiplicity 1)
O  0.279  0.713  0.032 (multiplicity 1)
O  0.292  0.296  0.046 (multiplicity 1)
O  0.550  0.019  0.100 (multiplicity 1)
O  0.561  0.935  0.623 (multiplicity 1)
O  0.588  0.369  0.655 (multiplicity 1)
O  0.670  0.820  0.335 (multiplicity 1)
O  0.681  0.330  0.354 (multiplicity 1)
O  0.752  0.712  0.031 (multiplicity 1)
O  0.753  0.296  0.043 (multiplicity 1)
O  0.794  0.642  0.593 (multiplicity 1)

***

No. 4
Diffraction record for Ba2CaV2Si4O14. The XRD peak list is computed, not measured: it uses a structure optimized by DFT (GGA+U) and a wavelength of 1.5418 Å.

Top 6 peaks for 15° ≤ 2θ ≤ 90°, by angle:
Position (°2θ), I_rel, h k l
19.13, 85.1, -1 1 1
23.18, 65.6, 1 -1 1
25.95, 90.3, -1 1 2
26.80, 100.0, 0 2 -1
31.04, 91.8, 2 0 -1
38.82, 71.8, -1 3 1

Atomic structure:
Unit cell a=5.918 b=7.319 c=8.151 alpha=90.06 beta=105.99 gamma=102.46
Space group P1 (No. 1)
Asymmetric unit:
Ba  0.000  0.000  0.000 (multiplicity 1)
Ba  0.363  0.484  0.861 (multiplicity 1)
Ca  0.193  0.267  0.405 (multiplicity 1)
V  0.036  0.635  0.258 (multiplicity 1)
V  0.287  0.866  0.581 (multiplicity 1)
Si  0.561  0.787  0.212 (multiplicity 1)
Si  0.646  0.223  0.241 (multiplicity 1)
Si  0.712  0.272  0.638 (multiplicity 1)
Si  0.750  0.722  0.618 (multiplicity 1)
O  0.037  0.812  0.705 (multiplicity 1)
O  0.153  0.922  0.355 (multiplicity 1)
O  0.173  0.582  0.484 (multiplicity 1)
O  0.276  0.688  0.127 (multiplicity 1)
O  0.391  0.284  0.184 (multiplicity 1)
O  0.444  0.163  0.650 (multiplicity 1)
O  0.598  0.808  0.727 (multiplicity 1)
O  0.609  0.006  0.158 (multiplicity 1)
O  0.654  0.773  0.419 (multiplicity 1)
O  0.677  0.492  0.627 (multiplicity 1)
O  0.723  0.688  0.121 (multiplicity 1)
O  0.751  0.210  0.452 (multiplicity 1)
O  0.877  0.343  0.186 (multiplicity 1)
O  0.945  0.258  0.788 (multiplicity 1)